# BaTb2NpN4
Theoretical XRD peak list, Cu Kα (λ = 1.5418 Å). Input: a DFT-relaxed cell (GGA-PBE, Alexandria).
Intensities are scaled so that the largest is 100.

Cell lengths 6.7995, 6.7995, 12.5570 Å; angles 90.00, 90.00, 149.37 degrees
Atoms (fractional coordinates):
Ba 0.0360 0.9640 0.7500
Ba 0.9640 0.0360 0.2500
Tb 0.3717 0.6283 0.5337
Tb 0.3717 0.6283 0.9663
Tb 0.6283 0.3717 0.0337
Tb 0.6283 0.3717 0.4663
Np 0.2301 0.7699 0.2500
Np 0.7699 0.2301 0.7500
N 0.0000 0.0000 0.0000
N 0.0000 0.0000 0.5000
N 0.2421 0.7579 0.0944
N 0.2421 0.7579 0.4056
N 0.3762 0.6238 0.7500
N 0.6238 0.3762 0.2500
N 0.7579 0.2421 0.5944
N 0.7579 0.2421 0.9056

Main lines, low angle first (2θ = 10–80°):
Position (°2θ)	I (rel.)
26.69	25
28.43	73
29.45	87
30.76	100
32.26	24
33.06	79
33.58	50
42.68	25
48.91	48
50.84	24
57.89	23
60.62	38